1.
Diffraction record for BaCeEuNbO6. The powder diffraction line list is computed, not measured: it uses the PBE geometry in the Materials Project and Cu Kα, 1.54184 Å.
Lines closer than 0.1° are merged.

Principal peaks in the range 10° ≤ 2θ ≤ 90°, by angle:
2θ (°), I (rel.), h k l
29.0, 96, 1 1 2
29.1, 100, -1 1 2
29.2, 98, 2 0 0
41.6, 75, 0 0 4
51.4, 25, 0 2 4
51.5, 32, 2 0 4
51.6, 21, 3 -1 2
51.9, 34, 3 1 -2
60.6, 14, 4 0 0
68.4, 11, 1 -1 6
68.5, 12, -1 1 6
83.9, 11, 3 1 -6

Structural model:
abc: 6.111 6.171 8.667
angles: 89.77 89.57 89.96
Space group P-1 (No. 2)
Asymmetric unit:
1 Ba 0.010 0.037 0.251 (multiplicity 2)
2 Ce 0.000 0.500 0.000 (multiplicity 1)
3 Ce 0.500 0.000 0.500 (multiplicity 1)
4 Eu 0.491 0.547 0.248 (multiplicity 2)
5 Nb 0.000 0.500 0.500 (multiplicity 1)
6 Nb 0.500 0.000 0.000 (multiplicity 1)
7 O 0.094 0.509 0.731 (multiplicity 2)
8 O 0.197 0.767 0.457 (multiplicity 2)
9 O 0.235 0.800 0.041 (multiplicity 2)
10 O 0.276 0.313 0.454 (multiplicity 2)
11 O 0.317 0.278 0.044 (multiplicity 2)
12 O 0.431 0.029 0.768 (multiplicity 2)

2.
Diffraction record for BaCe2EuO6. The powder diffraction line list is computed, not measured: it uses the PBE geometry in the Materials Project and Cu Kα, 1.54184 Å.
Lines closer than 0.1° are merged.

Principal peaks in the range 10° ≤ 2θ ≤ 90°, by angle:
2θ (°), I (rel.), h k l
28.5, 100, 0 2 1
28.8, 56, 2 2 0
40.2, 16, 0 0 2
41.2, 14, 0 4 0
41.3, 13, 4 0 0
50.2, 24, 2 2 2
50.9, 47, 4 2 1
58.9, 18, 0 4 2
66.0, 10, 0 2 3
67.6, 9, 2 6 0
80.8, 12, 4 2 3
82.2, 10, 4 6 1

Structural model:
abc: 8.745 8.768 4.490
angles: 90.00 90.00 90.00
Space group Cmmm (No. 65)
Asymmetric unit:
1 Ba 0.000 0.000 0.000 (multiplicity 2)
2 Ce 0.250 0.250 0.500 (multiplicity 4)
3 Eu 0.000 0.500 0.000 (multiplicity 2)
4 O 0.000 0.186 0.500 (multiplicity 4)
5 O 0.177 0.500 0.500 (multiplicity 4)
6 O 0.250 0.250 0.000 (multiplicity 4)

3.
Diffraction record for BaCe4EuO12. The powder diffraction line list is computed, not measured: it uses the PBE geometry in the Materials Project and Cu Kα, 1.54184 Å.
Lines closer than 0.1° are merged.

Principal peaks in the range 10° ≤ 2θ ≤ 90°, by angle:
2θ (°), I (rel.), h k l
17.7, 89, 1 1 1
20.5, 21, 2 0 0
20.7, 22, 0 0 2
28.9, 100, 2 2 0
29.1, 93, 0 2 2
29.3, 83, 2 0 2
41.0, 27, 0 4 0
41.7, 29, 4 0 0
42.1, 23, 0 0 4
51.2, 43, 2 4 2
51.6, 41, 4 2 2
51.9, 38, 2 2 4

Structural model:
abc: 8.664 8.796 8.590
angles: 90.00 90.00 90.00
Space group Amm2 (No. 38)
Asymmetric unit:
1 Ba 0.000 0.000 0.000 (multiplicity 2)
2 Ce 0.254 0.240 0.274 (multiplicity 8)
3 Eu 0.500 0.000 0.555 (multiplicity 2)
4 O 0.000 0.205 0.269 (multiplicity 4)
5 O 0.223 0.000 0.730 (multiplicity 4)
6 O 0.247 0.201 0.022 (multiplicity 8)
7 O 0.326 0.000 0.349 (multiplicity 4)
8 O 0.500 0.188 0.734 (multiplicity 4)

What did the first record say?
Diffraction record for BaCeEuNbO6. The powder diffraction line list is computed, not measured: it uses the PBE geometry in the Materials Project and Cu Kα, 1.54184 Å.
Lines closer than 0.1° are merged.

Principal peaks in the range 10° ≤ 2θ ≤ 90°, by angle:
2θ (°), I (rel.), h k l
29.0, 96, 1 1 2
29.1, 100, -1 1 2
29.2, 98, 2 0 0
41.6, 75, 0 0 4
51.4, 25, 0 2 4
51.5, 32, 2 0 4
51.6, 21, 3 -1 2
51.9, 34, 3 1 -2
60.6, 14, 4 0 0
68.4, 11, 1 -1 6
68.5, 12, -1 1 6
83.9, 11, 3 1 -6

Structural model:
abc: 6.111 6.171 8.667
angles: 89.77 89.57 89.96
Space group P-1 (No. 2)
Asymmetric unit:
1 Ba 0.010 0.037 0.251 (multiplicity 2)
2 Ce 0.000 0.500 0.000 (multiplicity 1)
3 Ce 0.500 0.000 0.500 (multiplicity 1)
4 Eu 0.491 0.547 0.248 (multiplicity 2)
5 Nb 0.000 0.500 0.500 (multiplicity 1)
6 Nb 0.500 0.000 0.000 (multiplicity 1)
7 O 0.094 0.509 0.731 (multiplicity 2)
8 O 0.197 0.767 0.457 (multiplicity 2)
9 O 0.235 0.800 0.041 (multiplicity 2)
10 O 0.276 0.313 0.454 (multiplicity 2)
11 O 0.317 0.278 0.044 (multiplicity 2)
12 O 0.431 0.029 0.768 (multiplicity 2)